For DyNi5As3, a crystal structure in Alexandria, relaxed with GGA-PBE gives the theoretical X-ray diffraction stick pattern in this record (Cu Kα (λ = 1.5418 Å)).
Peak positions follow from Bragg's law for the DFT cell and can differ from measured ones.

Principal peaks in the range 2θ = 5–70°, low angle first:
29.52 deg, rel. 27; 32.80 deg, rel. 38; 34.18 deg, rel. 92; 36.27 deg, rel. 100; 39.90 deg, rel. 63; 44.55 deg, rel. 28; 47.28 deg, rel. 46; 49.45 deg, rel. 58; 50.56 deg, rel. 44; 59.15 deg, rel. 27

Cell and atoms:
abc: 6.3698 6.3698 11.7659
angles: 90.00 90.00 146.36
Atoms (fractional coordinates):
Dy 0.1539 0.8461 0.7500
Dy 0.8461 0.1539 0.2500
Ni 0.0000 0.0000 0.0000
Ni 0.0000 0.0000 0.5000
Ni 0.1962 0.8038 0.0695
Ni 0.1962 0.8038 0.4305
Ni 0.4510 0.5490 0.6448
Ni 0.4510 0.5490 0.8552
Ni 0.5490 0.4510 0.1448
Ni 0.5490 0.4510 0.3552
Ni 0.8038 0.1962 0.5695
Ni 0.8038 0.1962 0.9305
As 0.1183 0.8817 0.2500
As 0.3798 0.6202 0.0469
As 0.3798 0.6202 0.4531
As 0.6202 0.3798 0.5469
As 0.6202 0.3798 0.9531
As 0.8817 0.1183 0.7500

---

For Si23Tc, a crystal structure in Alexandria, relaxed with GGA-PBE gives the theoretical X-ray diffraction stick pattern in this record (Cu Kα (λ = 1.5418 Å)).
Peak positions follow from Bragg's law for the DFT cell and can differ from measured ones.

Principal peaks in the range 2θ = 5–70°, low angle first:
12.28 deg, rel. 80; 19.48 deg, rel. 39; 32.89 deg, rel. 100; 36.35 deg, rel. 13; 37.45 deg, rel. 25; 40.57 deg, rel. 12; 52.36 deg, rel. 13; 53.18 deg, rel. 11; 54.00 deg, rel. 19; 55.60 deg, rel. 41

Cell and atoms:
abc: 10.1893 10.1893 10.1893
angles: 90.00 90.00 90.00
Atoms (fractional coordinates):
Si 0.0000 0.1162 0.3080
Si 0.0000 0.1162 0.6920
Si 0.0000 0.2500 0.5000
Si 0.0000 0.7500 0.5000
Si 0.0000 0.8838 0.3080
Si 0.0000 0.8838 0.6920
Si 0.1162 0.3080 0.0000
Si 0.1162 0.6920 0.0000
Si 0.1816 0.1816 0.1816
Si 0.1816 0.1816 0.8184
Si 0.1816 0.8184 0.1816
Si 0.1816 0.8184 0.8184
Si 0.1920 0.3838 0.5000
Si 0.1920 0.6162 0.5000
Si 0.2500 0.5000 0.0000
Si 0.3080 0.0000 0.1162
Si 0.3080 0.0000 0.8838
Si 0.3184 0.3184 0.3184
Si 0.3184 0.3184 0.6816
Si 0.3184 0.6816 0.3184
Si 0.3184 0.6816 0.6816
Si 0.3838 0.5000 0.1920
Si 0.3838 0.5000 0.8080
Si 0.5000 0.0000 0.2500
Si 0.5000 0.0000 0.7500
Si 0.5000 0.1920 0.3838
Si 0.5000 0.1920 0.6162
Si 0.5000 0.8080 0.3838
Si 0.5000 0.8080 0.6162
Si 0.6162 0.5000 0.1920
Si 0.6162 0.5000 0.8080
Si 0.6816 0.3184 0.3184
Si 0.6816 0.3184 0.6816
Si 0.6816 0.6816 0.3184
Si 0.6816 0.6816 0.6816
Si 0.6920 0.0000 0.1162
Si 0.6920 0.0000 0.8838
Si 0.7500 0.5000 0.0000
Si 0.8080 0.3838 0.5000
Si 0.8080 0.6162 0.5000
Si 0.8184 0.1816 0.1816
Si 0.8184 0.1816 0.8184
Si 0.8184 0.8184 0.1816
Si 0.8184 0.8184 0.8184
Si 0.8838 0.3080 0.0000
Si 0.8838 0.6920 0.0000
Tc 0.0000 0.0000 0.0000
Tc 0.5000 0.5000 0.5000

---

Q: Which formula does entry 1 have?
A: DyNi5As3